# V5CrW
Calculated X-ray powder pattern, a wavelength of 1.5418 Å. Input: a DFT-relaxed cell (GGA-PBE, Alexandria).
No peak broadening, texture or thermal motion is included.

Atomic structure:
Unit cell a=4.1595 b=4.1595 c=5.9895 alpha=90.00 beta=90.00 gamma=90.00
Space group P4/mmm (No. 123)
Unique sites:
V1 0.0000 0.0000 0.0000
V2 0.0000 0.5000 0.2454
Cr1 0.5000 0.5000 0.0000
W1 0.0000 0.0000 0.5000

The 10 most intense peaks (2θ = 10–90°), in order of rising 2θ:
Position (°2θ)	Rel. int.	index
21.36	42	1 0 0
26.08	56	1 0 1
36.99	21	1 0 2
43.11	100	1 1 2
43.51	49	2 0 0
51.44	18	2 1 1
58.40	11	2 1 2
63.23	15	2 2 0
78.75	15	2 0 4
79.60	30	3 1 2